Diffraction record for YGaPd. The X-ray diffraction stick pattern is calculated, not measured: it uses DFT lattice parameters and positions (GGA-PBE) and Cu Kα (weighted mean of Kα1 and Kα2).
Neutral-atom scattering factors, no anomalous dispersion.

Lattice parameters (Å, degrees): 7.0068 4.4701 7.6812 90.00 90.00 90.00
Fractional positions:
Y  0.0142  0.2500  0.1983
Y  0.4858  0.7500  0.6983
Y  0.5142  0.2500  0.3017
Y  0.9858  0.7500  0.8017
Ga  0.1729  0.2500  0.5735
Ga  0.3271  0.7500  0.0735
Ga  0.6729  0.2500  0.9265
Ga  0.8271  0.7500  0.4265
Pd  0.2236  0.7500  0.4007
Pd  0.2764  0.2500  0.9007
Pd  0.7236  0.7500  0.0993
Pd  0.7764  0.2500  0.5993

Most intense lines, 10 to 80 degrees two-theta, low angle first:
d_spacing  intensity
2.690  31
2.594  100
2.235  35
2.235  17
2.222  47
1.997  11
1.692  13
1.408  14



Diffraction record for Zn3Ga4Pd7. The X-ray diffraction stick pattern is calculated, not measured: it uses DFT lattice parameters and positions (GGA-PBE) and Cu Kα (weighted mean of Kα1 and Kα2).
Neutral-atom scattering factors, no anomalous dispersion.

Lattice parameters (Å, degrees): 6.9568 6.9568 6.9568 113.65 113.65 113.65
Fractional positions:
Zn  0.1255  0.3072  0.5673
Zn  0.3072  0.5673  0.1255
Zn  0.5673  0.1255  0.3072
Ga  0.0384  0.7823  0.2089
Ga  0.2089  0.0384  0.7823
Ga  0.6508  0.6508  0.6508
Ga  0.7823  0.2089  0.0384
Pd  0.0497  0.6408  0.8046
Pd  0.1699  0.1699  0.1699
Pd  0.2785  0.7060  0.5334
Pd  0.5334  0.2785  0.7060
Pd  0.6408  0.8046  0.0497
Pd  0.7060  0.5334  0.2785
Pd  0.8046  0.0497  0.6408

Most intense lines, 10 to 80 degrees two-theta, low angle first:
d_spacing  intensity
2.366  23
2.201  100
2.192  62
1.935  21
1.751  14
1.410  16
1.334  12
1.240  13



Diffraction record for Pm3Ga. The X-ray diffraction stick pattern is calculated, not measured: it uses DFT lattice parameters and positions (GGA-PBE) and Cu Kα (weighted mean of Kα1 and Kα2).
Neutral-atom scattering factors, no anomalous dispersion.

Lattice parameters (Å, degrees): 4.8323 4.8323 4.8323 90.00 90.00 90.00
Fractional positions:
Pm  0.0000  0.0000  0.5000
Pm  0.0000  0.5000  0.0000
Pm  0.5000  0.0000  0.0000
Ga  0.5000  0.5000  0.5000

Most intense lines, 10 to 80 degrees two-theta, low angle first:
d_spacing  intensity
4.832  6
3.417  5
2.790  100
2.416  50
1.708  35
1.457  41
1.395  12
1.208  6



Diffraction record for PmGa3. The X-ray diffraction stick pattern is calculated, not measured: it uses DFT lattice parameters and positions (GGA-PBE) and Cu Kα (weighted mean of Kα1 and Kα2).
Neutral-atom scattering factors, no anomalous dispersion.

Lattice parameters (Å, degrees): 6.4334 6.4334 4.6136 90.00 90.00 120.00
Fractional positions:
Pm  0.3333  0.6667  0.2500
Pm  0.6667  0.3333  0.7500
Ga  0.1444  0.2888  0.7500
Ga  0.1444  0.8556  0.7500
Ga  0.2888  0.1444  0.2500
Ga  0.7112  0.8556  0.7500
Ga  0.8556  0.1444  0.2500
Ga  0.8556  0.7112  0.2500

Most intense lines, 10 to 80 degrees two-theta, low angle first:
d_spacing  intensity
3.553  21
2.786  25
2.385  100
2.307  22
1.777  13
1.608  16
1.346  16
1.319  16



Diffraction record for Pm2GaRu. The X-ray diffraction stick pattern is calculated, not measured: it uses DFT lattice parameters and positions (GGA-PBE) and Cu Kα (weighted mean of Kα1 and Kα2).
Neutral-atom scattering factors, no anomalous dispersion.

Lattice parameters (Å, degrees): 5.0717 5.0717 5.0717 60.00 60.00 60.00
Fractional positions:
Pm  0.2500  0.2500  0.2500
Pm  0.7500  0.7500  0.7500
Ga  0.0000  0.0000  0.0000
Ru  0.5000  0.5000  0.5000

Most intense lines, 10 to 80 degrees two-theta, low angle first:
d_spacing  intensity
4.141  1
3.586  8
2.536  100
2.071  2
1.793  18
1.604  3
1.464  36
1.268  11



Diffraction record for PmSmGa2. The X-ray diffraction stick pattern is calculated, not measured: it uses DFT lattice parameters and positions (GGA-PBE) and Cu Kα (weighted mean of Kα1 and Kα2).
Neutral-atom scattering factors, no anomalous dispersion.

Lattice parameters (Å, degrees): 5.1826 5.1826 5.1826 60.00 60.00 60.00
Fractional positions:
Pm  0.0000  0.0000  0.0000
Sm  0.5000  0.5000  0.5000
Ga  0.2500  0.2500  0.2500
Ga  0.7500  0.7500  0.7500

Most intense lines, 10 to 80 degrees two-theta, low angle first:
d_spacing  intensity
3.665  14
2.591  100
2.116  4
1.832  18
1.639  6
1.496  36
1.296  11
1.222  3



Diffraction record for Pm2GaSn. The X-ray diffraction stick pattern is calculated, not measured: it uses DFT lattice parameters and positions (GGA-PBE) and Cu Kα (weighted mean of Kα1 and Kα2).
Neutral-atom scattering factors, no anomalous dispersion.

Lattice parameters (Å, degrees): 5.3459 5.3459 5.3459 60.00 60.00 60.00
Fractional positions:
Pm  0.2500  0.2500  0.2500
Pm  0.7500  0.7500  0.7500
Ga  0.0000  0.0000  0.0000
Sn  0.5000  0.5000  0.5000

Most intense lines, 10 to 80 degrees two-theta, low angle first:
d_spacing  intensity
4.365  2
3.780  5
2.673  100
2.182  2
1.890  18
1.691  2
1.543  38
1.336  12



Diffraction record for Pr5Ga3. The X-ray diffraction stick pattern is calculated, not measured: it uses DFT lattice parameters and positions (GGA-PBE) and Cu Kα (weighted mean of Kα1 and Kα2).
Neutral-atom scattering factors, no anomalous dispersion.

Lattice parameters (Å, degrees): 7.9717 7.9717 14.7184 90.00 90.00 90.00
Fractional positions:
Pr  0.0655  0.5904  0.1030
Pr  0.0655  0.9096  0.6030
Pr  0.0904  0.5655  0.3970
Pr  0.0904  0.9345  0.8970
Pr  0.2500  0.2500  0.2196
Pr  0.2500  0.2500  0.7196
Pr  0.4096  0.5655  0.8970
Pr  0.4096  0.9345  0.3970
Pr  0.4345  0.5904  0.6030
Pr  0.4345  0.9096  0.1030
Pr  0.5655  0.0904  0.8970
Pr  0.5655  0.4096  0.3970
Pr  0.5904  0.0655  0.6030
Pr  0.5904  0.4345  0.1030
Pr  0.7500  0.7500  0.2804
Pr  0.7500  0.7500  0.7804
Pr  0.9096  0.0655  0.1030
Pr  0.9096  0.4345  0.6030
Pr  0.9345  0.0904  0.3970
Pr  0.9345  0.4096  0.8970
Ga  0.1314  0.6314  0.7500
Ga  0.1314  0.8686  0.2500
Ga  0.2500  0.2500  0.0035
Ga  0.2500  0.2500  0.5035
Ga  0.3686  0.6314  0.2500
Ga  0.3686  0.8686  0.7500
Ga  0.6314  0.1314  0.2500
Ga  0.6314  0.3686  0.7500
Ga  0.7500  0.7500  0.4965
Ga  0.7500  0.7500  0.9965
Ga  0.8686  0.1314  0.7500
Ga  0.8686  0.3686  0.2500

Most intense lines, 10 to 80 degrees two-theta, low angle first:
d_spacing  intensity
3.465  15
2.884  100
2.818  14
2.704  37
2.521  43
1.917  12
1.799  17
1.673  14



Diffraction record for Pr2Ga. The X-ray diffraction stick pattern is calculated, not measured: it uses DFT lattice parameters and positions (GGA-PBE) and Cu Kα (weighted mean of Kα1 and Kα2).
Neutral-atom scattering factors, no anomalous dispersion.

Lattice parameters (Å, degrees): 6.8314 5.0556 10.0437 90.00 90.00 90.00
Fractional positions:
Pr  0.0573  0.2500  0.1958
Pr  0.1774  0.2500  0.5620
Pr  0.3226  0.7500  0.0620
Pr  0.4427  0.7500  0.6958
Pr  0.5573  0.2500  0.3042
Pr  0.6774  0.2500  0.9380
Pr  0.8226  0.7500  0.4380
Pr  0.9427  0.7500  0.8042
Ga  0.2150  0.2500  0.8791
Ga  0.2850  0.7500  0.3791
Ga  0.7150  0.2500  0.6209
Ga  0.7850  0.7500  0.1209

Most intense lines, 10 to 80 degrees two-theta, low angle first:
d_spacing  intensity
3.159  43
3.006  33
2.829  100
2.791  84
2.724  74
2.584  39
2.528  60
2.391  25



Diffraction record for Pr9Ga4. The X-ray diffraction stick pattern is calculated, not measured: it uses DFT lattice parameters and positions (GGA-PBE) and Cu Kα (weighted mean of Kα1 and Kα2).
Neutral-atom scattering factors, no anomalous dispersion.

Lattice parameters (Å, degrees): 9.0022 9.0022 9.0022 94.87 94.87 146.13
Fractional positions:
Pr  0.0000  0.0000  0.0000
Pr  0.0963  0.6254  0.7216
Pr  0.3150  0.3900  0.7050
Pr  0.3746  0.0963  0.4709
Pr  0.3900  0.6850  0.0750
Pr  0.6100  0.3150  0.9250
Pr  0.6254  0.9037  0.5291
Pr  0.6850  0.6100  0.2950
Pr  0.9037  0.3746  0.2784
Ga  0.1128  0.2333  0.3461
Ga  0.2333  0.8872  0.1204
Ga  0.7667  0.1128  0.8796
Ga  0.8872  0.7667  0.6539

Most intense lines, 10 to 80 degrees two-theta, low angle first:
d_spacing  intensity
3.210  25
3.045  14
2.840  100
2.622  28
2.389  17
1.766  14
1.594  14
1.552  21



Diffraction record for Pr3Ga. The X-ray diffraction stick pattern is calculated, not measured: it uses DFT lattice parameters and positions (GGA-PBE) and Cu Kα (weighted mean of Kα1 and Kα2).
Neutral-atom scattering factors, no anomalous dispersion.

Lattice parameters (Å, degrees): 4.9032 4.9032 4.9032 90.00 90.00 90.00
Fractional positions:
Pr  0.0000  0.0000  0.5000
Pr  0.0000  0.5000  0.0000
Pr  0.5000  0.0000  0.0000
Ga  0.5000  0.5000  0.5000

Most intense lines, 10 to 80 degrees two-theta, low angle first:
d_spacing  intensity
4.903  6
3.467  5
2.831  100
2.452  50
1.734  35
1.478  41
1.415  12
1.226  6



Diffraction record for PrGa2. The X-ray diffraction stick pattern is calculated, not measured: it uses DFT lattice parameters and positions (GGA-PBE) and Cu Kα (weighted mean of Kα1 and Kα2).
Neutral-atom scattering factors, no anomalous dispersion.

Lattice parameters (Å, degrees): 4.3013 4.3013 4.3508 90.00 90.00 120.00
Fractional positions:
Pr  0.0000  0.0000  0.0000
Ga  0.3333  0.6667  0.5000
Ga  0.6667  0.3333  0.5000

Most intense lines, 10 to 80 degrees two-theta, low angle first:
d_spacing  intensity
3.725  10
2.830  100
2.175  14
2.151  41
1.712  22
1.529  27
1.351  10
1.340  19



Diffraction record for PrGa. The X-ray diffraction stick pattern is calculated, not measured: it uses DFT lattice parameters and positions (GGA-PBE) and Cu Kα (weighted mean of Kα1 and Kα2).
Neutral-atom scattering factors, no anomalous dispersion.

Lattice parameters (Å, degrees): 6.1523 6.1523 4.2053 90.00 90.00 137.03
Fractional positions:
Pr  0.1410  0.8590  0.7500
Pr  0.8590  0.1410  0.2500
Ga  0.4304  0.5696  0.7500
Ga  0.5696  0.4304  0.2500

Most intense lines, 10 to 80 degrees two-theta, low angle first:
d_spacing  intensity
3.389  24
2.969  100
2.912  50
2.862  23
2.394  52
2.253  27
2.103  22
1.537  32



Diffraction record for Pr5Ga3. The X-ray diffraction stick pattern is calculated, not measured: it uses DFT lattice parameters and positions (GGA-PBE) and Cu Kα (weighted mean of Kα1 and Kα2).
Neutral-atom scattering factors, no anomalous dispersion.

Lattice parameters (Å, degrees): 9.2763 9.2763 9.2763 95.64 95.64 143.44
Fractional positions:
Pr  0.0841  0.7776  0.8617
Pr  0.2224  0.0841  0.3064
Pr  0.2500  0.7500  0.5000
Pr  0.2776  0.5841  0.8617
Pr  0.4159  0.2776  0.6936
Pr  0.5841  0.7224  0.3064
Pr  0.7224  0.4159  0.1383
Pr  0.7500  0.2500  0.5000
Pr  0.7776  0.9159  0.6936
Pr  0.9159  0.2224  0.1383
Ga  0.1621  0.3379  0.5000
Ga  0.2500  0.2500  0.0000
Ga  0.3379  0.8379  0.1758
Ga  0.6621  0.1621  0.8242
Ga  0.7500  0.7500  0.0000
Ga  0.8379  0.6621  0.5000

Most intense lines, 10 to 80 degrees two-theta, low angle first:
d_spacing  intensity
2.971  74
2.785  74
2.681  100
2.636  43
2.427  41
1.691  31
1.632  23
1.486  22